1.
The following is a simulated powder diffraction line list of CeTm3Ru2. It was derived from a DFT-relaxed cell (GGA-PBE, Alexandria), using copper Kα.

Peak list (12 most intense, 2θ = 10–90°, in order of falling intensity)
d_spacing  two_theta  intensity
2.359  38.2  100
2.416  37.2  97
3.336  26.7  67
2.545  35.3  48
3.913  22.7  47
3.021  29.6  45
1.406  66.5  39
3.103  28.8  28
2.270  39.7  24
1.752  52.2  21
1.665  55.2  17
1.626  56.6  17

Structure:
```
CeTm3Ru2
1.0
-3.3304 6.6821 3.5037
3.3304 -6.6821 3.5037
3.3304 6.6821 -3.5037
Ce Tm Ru
2 6 4
Cartesian
0.0000 0.0000 0.0000
0.0000 0.0000 3.5037
3.3304 3.4622 -1.7518
3.3304 0.0000 1.7518
0.0000 3.2198 1.7518
3.3304 3.4622 1.7518
0.0000 6.6821 1.7518
0.0000 3.2198 5.2555
4.9620 1.6760 0.0000
1.6316 5.0061 0.0000
1.6989 1.6760 3.5037
-1.6316 5.0061 3.5037
```


2.
The following is a simulated powder diffraction line list of Tb6Cd3Ag. It was derived from a DFT-relaxed cell (GGA-PBE, Alexandria), using copper Kα.

Peak list (12 most intense, 2θ = 10–90°, in order of falling intensity)
d_spacing  two_theta  intensity
2.640  34.0  100
2.677  33.5  32
2.793  32.0  19
1.538  60.2  19
2.476  36.3  14
1.933  47.0  13
1.498  62.0  8
1.807  50.5  8
3.034  29.4  7
1.320  71.5  6
1.582  58.3  6
1.408  66.4  6

Structure:
```
Tb6Cd3Ag
1.0
9.1362 0.0000 0.0000
0.0000 5.3539 0.0000
-3.9721 0.0000 11.0488
Tb Cd Ag
12 6 2
Cartesian
-1.3178 1.3385 4.5933
0.8343 4.0154 1.8992
2.2929 1.3385 0.0454
-0.0367 4.0154 8.9394
1.9559 1.3385 3.7990
1.1985 1.3385 7.0141
3.9656 4.0154 4.0347
3.2082 4.0154 7.2498
5.2008 1.3385 2.1094
2.8712 4.0154 11.0034
4.3298 1.3385 9.1496
6.4819 4.0154 6.4555
-3.2127 4.0154 9.6504
-1.8807 1.3385 7.9095
0.5885 4.0154 5.2593
4.5756 1.3385 5.7895
7.0449 4.0154 3.1393
8.3768 1.3385 1.3984
3.7753 4.0154 0.9951
1.3888 1.3385 10.0537
```


3.
The following is a simulated powder diffraction line list of KCuSi. It was derived from a DFT-relaxed cell (GGA-PBE, Alexandria), using copper Kα.

Peak list (12 most intense, 2θ = 10–90°, in order of falling intensity)
d_spacing  two_theta  intensity
3.060  29.2  100
6.112  14.5  90
5.002  17.7  68
2.493  36.0  48
4.401  20.2  24
3.400  26.2  24
2.502  35.9  23
1.801  50.7  22
2.002  45.3  20
2.120  42.7  19
2.838  31.5  16
3.150  28.3  15

Structure:
```
KCuSi
1.0
4.5323 0.0000 0.0000
-0.3429 6.3237 0.0000
-1.3806 -1.5990 6.1075
K Cu Si
2 2 2
Cartesian
0.3803 0.6627 1.9428
2.4285 4.0620 4.1647
-0.9814 0.8911 5.2325
3.7903 3.8336 0.8750
1.5436 3.9204 0.7631
1.2653 0.8043 5.3444
```


4.
The following is a simulated powder diffraction line list of Mg3Ga4Pt. It was derived from a DFT-relaxed cell (GGA-PBE, Alexandria), using copper Kα.

Peak list (12 most intense, 2θ = 10–90°, in order of falling intensity)
d_spacing  two_theta  intensity
4.077  21.8  100
2.141  42.2  99
3.047  29.3  65
5.642  15.7  53
2.211  40.8  47
2.821  31.7  35
2.191  41.2  33
2.120  42.7  26
3.227  27.6  24
1.953  46.5  22
1.523  60.8  18
1.730  52.9  17

Structure:
```
Mg3Ga4Pt
1.0
-2.1907 3.2730 5.5646
2.1907 -3.2730 5.5646
2.1907 3.2730 -5.5646
Mg Ga Pt
3 4 1
Cartesian
0.0000 0.0000 0.0000
2.1907 0.0000 4.0531
0.0000 3.2730 1.5115
2.1907 1.3480 -1.6671
2.1907 1.3480 1.6671
0.0000 1.9250 3.8975
0.0000 1.9250 7.2317
0.0000 0.0000 5.5646
```


5.
The following is a simulated powder diffraction line list of KPm2TeSe4. It was derived from a DFT-relaxed cell (GGA-PBE, Alexandria), using copper Kα.

Peak list (12 most intense, 2θ = 10–90°, in order of falling intensity)
d_spacing  two_theta  intensity
3.022  29.6  100
2.773  32.3  79
6.715  13.2  49
3.457  25.8  36
2.345  38.4  36
2.183  41.4  33
2.880  31.1  32
2.223  40.6  20
2.603  34.5  20
3.904  22.8  17
7.808  11.3  16
1.969  46.1  16

Structure:
```
KPm2TeSe4
1.0
2.1834 -7.4374 0.0000
2.1834 7.4374 0.0000
0.0000 0.0000 15.6159
K Pm Te Se
2 4 2 8
Cartesian
2.1834 4.9826 11.7119
2.1834 -4.9826 3.9040
2.1834 1.9520 8.6906
2.1834 1.9520 14.7333
2.1834 -1.9520 0.8826
2.1834 -1.9520 6.9253
2.1834 6.0352 3.9040
2.1834 -6.0352 11.7119
0.0000 0.0000 0.0000
0.0000 0.0000 7.8080
2.1834 3.4816 1.5120
2.1834 3.4816 6.2959
2.1834 0.0194 11.7119
2.1834 -0.0194 3.9040
2.1834 -3.4816 9.3200
2.1834 -3.4816 14.1039
```


6.
The following is a simulated powder diffraction line list of Hf5Hg2. It was derived from a DFT-relaxed cell (GGA-PBE, Alexandria), using copper Kα.

Peak list (11 most intense, 2θ = 10–90°, in order of falling intensity)
d_spacing  two_theta  intensity
2.425  37.1  100
2.620  34.2  62
1.472  63.2  43
1.852  49.2  23
1.368  68.6  16
1.213  79.0  11
1.172  82.3  11
1.153  84.0  10
1.310  72.1  7
1.604  57.5  7
2.858  31.3  1

Structure:
```
Hf5Hg2
1.0
-1.8525 1.8525 11.2274
1.8525 -1.8525 11.2274
1.8525 1.8525 -11.2274
Hf Hg
5 2
Cartesian
0.0000 0.0000 0.0000
0.0000 0.0000 3.1894
0.0000 0.0000 9.7105
0.0000 0.0000 12.7443
0.0000 0.0000 19.2654
0.0000 0.0000 6.4482
0.0000 0.0000 16.0066
```